This entry pairs a crystal structure of Li9Co7O16 with its theoretical powder diffractogram. Radiation: Cu Kα, 1.54184 Å. Structure: a cell relaxed with PBE+U.

abc: 19.409 5.820 5.121
angles: 90.00 100.20 90.00
Space group C2/m (No. 12)
Inequivalent atoms, fractional coordinates:
1 Li 0.000 0.000 0.000 x2
2 Li 0.000 0.245 0.500 x4
3 Li 0.125 0.000 0.753 x4
4 Li 0.125 0.500 0.753 x4
5 Li 0.250 0.250 0.000 x4
6 Co 0.000 0.500 0.000 x2
7 Co 0.122 0.246 0.245 x8
8 Co 0.250 0.000 0.498 x4
9 O 0.059 0.272 0.898 x8
10 O 0.059 0.500 0.344 x4
11 O 0.069 0.000 0.375 x4
12 O 0.184 0.500 0.146 x4
13 O 0.186 0.000 0.138 x4
14 O 0.190 0.254 0.608 x8

Peak list (10 most intense, 2θ = 15–90°, in order of rising 2θ)
hkl 2 0 -1, 2θ = 18.39°, I 100; hkl 6 0 1, 2θ = 35.93°, I 14; hkl 4 2 0, 2θ = 36.14°, I 27; hkl 2 2 1, 2θ = 37.70°, I 12; hkl 4 0 2, 2θ = 43.47°, I 28; hkl 6 2 -1, 2θ = 43.79°, I 54; hkl 0 2 2, 2θ = 47.77°, I 14; hkl 8 2 -2, 2θ = 57.73°, I 10; hkl 2 2 -3, 2θ = 63.15°, I 15; hkl 10 2 1, 2θ = 63.68°, I 15

=====

This entry pairs a crystal structure of La2MnP2O with its theoretical powder diffractogram. Radiation: Cu Kα, 1.54184 Å. Structure: a cell relaxed with PBE+U.

abc: 3.481 3.481 14.769
angles: 90.00 90.00 90.00
Space group P4/mmm (No. 123)
Inequivalent atoms, fractional coordinates:
1 La 0.000 0.000 0.143 x2
2 Mn 0.000 0.000 0.500 x1
3 P 0.000 0.000 0.341 x2
4 O 0.000 0.000 0.000 x1

Peak list (10 most intense, 2θ = 15–90°, in order of rising 2θ)
hkl 0 0 3, 2θ = 18.02°, I 33; hkl 0 0 4, 2θ = 24.10°, I 16; hkl 1 0 0, 2θ = 25.59°, I 100; hkl 1 0 3, 2θ = 31.48°, I 35; hkl 1 0 4, 2θ = 35.44°, I 23; hkl 1 1 0, 2θ = 36.51°, I 49; hkl 1 1 3, 2θ = 41.00°, I 17; hkl 1 0 6, 2θ = 45.11°, I 22; hkl 2 0 0, 2θ = 52.58°, I 27; hkl 2 1 0, 2θ = 59.37°, I 18

=====

This entry pairs a crystal structure of LiMo2P3O11 with its theoretical powder diffractogram. Radiation: Cu Kα, 1.54184 Å. Structure: a cell relaxed with PBE+U.

abc: 11.871 8.963 8.986
angles: 90.00 116.16 90.00
Space group C2 (No. 5)
Inequivalent atoms, fractional coordinates:
1 Li 0.248 0.000 0.264 x4
2 Mo 0.122 0.001 0.798 x4
3 Mo 0.122 0.521 0.297 x4
4 P 0.000 0.717 0.500 x2
5 P 0.000 0.805 0.000 x2
6 P 0.113 0.325 0.966 x4
7 P 0.114 0.196 0.468 x4
8 O 0.000 0.260 0.500 x2
9 O 0.000 0.261 0.000 x2
10 O 0.061 0.423 0.810 x4
11 O 0.062 0.809 0.658 x4
12 O 0.063 0.712 0.158 x4
13 O 0.064 0.099 0.311 x4
14 O 0.106 0.611 0.500 x4
15 O 0.106 0.911 0.000 x4
16 O 0.187 0.192 0.957 x4
17 O 0.188 0.332 0.463 x4
18 O 0.189 0.100 0.625 x4
19 O 0.189 0.422 0.123 x4

Peak list (10 most intense, 2θ = 15–90°, in order of rising 2θ)
hkl 1 1 1, 2θ = 19.22°, I 100; hkl 0 2 1, 2θ = 22.70°, I 23; hkl 3 1 -1, 2θ = 24.59°, I 37; hkl 3 1 -2, 2θ = 27.00°, I 31; hkl 2 2 -2, 2θ = 29.00°, I 22; hkl 0 2 2, 2θ = 29.81°, I 74; hkl 3 1 -3, 2θ = 33.25°, I 48; hkl 1 3 1, 2θ = 34.32°, I 22; hkl 4 2 0, 2θ = 39.34°, I 28; hkl 7 1 -3, 2θ = 55.66°, I 24

=====

This entry pairs a crystal structure of Rb2CaV2O7 with its theoretical powder diffractogram. Radiation: Cu Kα, 1.54184 Å. Structure: a cell relaxed with PBE+U.

abc: 10.499 6.080 15.346
angles: 90.00 116.39 90.00
Space group P2_1/c (No. 14)
Inequivalent atoms, fractional coordinates:
1 Rb 0.001 0.225 0.130 x4
2 Rb 0.473 0.235 0.331 x4
3 Ca 0.270 0.240 0.522 x4
4 V 0.162 0.734 0.139 x4
5 V 0.327 0.728 0.378 x4
6 O 0.018 0.208 0.433 x4
7 O 0.181 0.687 0.760 x4
8 O 0.230 0.554 0.598 x4
9 O 0.248 0.010 0.644 x4
10 O 0.288 0.031 0.904 x4
11 O 0.324 0.584 0.960 x4
12 O 0.486 0.730 0.370 x4

Peak list (10 most intense, 2θ = 15–90°, in order of rising 2θ)
hkl 1 1 2, 2θ = 24.09°, I 20; hkl 2 0 -4, 2θ = 24.36°, I 11; hkl 0 0 4, 2θ = 25.93°, I 27; hkl 2 0 2, 2θ = 27.33°, I 21; hkl 1 1 -4, 2θ = 27.57°, I 38; hkl 0 2 0, 2θ = 29.43°, I 100; hkl 4 0 0, 2θ = 38.26°, I 12; hkl 2 2 -4, 2θ = 38.52°, I 18; hkl 3 3 -2, 2θ = 52.15°, I 11; hkl 6 2 -4, 2θ = 61.11°, I 13

=====

This entry pairs a crystal structure of NiSb2H8O6F8 with its theoretical powder diffractogram. Radiation: Cu Kα, 1.54184 Å. Structure: a cell relaxed with PBE+U.

abc: 5.023 17.470 7.619
angles: 90.00 119.10 90.00
Space group P2_1/c (No. 14)
Inequivalent atoms, fractional coordinates:
1 Ni 0.000 0.000 0.000 x2
2 Sb 0.382 0.217 0.477 x4
3 H 0.177 0.105 0.855 x4
4 H 0.181 0.579 0.803 x4
5 H 0.278 0.611 0.492 x4
6 H 0.419 0.046 0.300 x4
7 O 0.029 0.061 0.806 x4
8 O 0.096 0.582 0.389 x4
9 O 0.405 0.018 0.182 x4
10 F 0.175 0.729 0.854 x4
11 F 0.419 0.171 0.878 x4
12 F 0.441 0.192 0.241 x4
13 F 0.490 0.598 0.968 x4

Peak list (10 most intense, 2θ = 15–90°, in order of rising 2θ)
hkl 1 1 -1, 2θ = 18.71°, I 47; hkl 0 3 1, 2θ = 20.25°, I 100; hkl 0 4 0, 2θ = 20.33°, I 43; hkl 1 1 0, 2θ = 20.87°, I 33; hkl 1 2 0, 2θ = 22.67°, I 83; hkl 1 0 -2, 2θ = 24.47°, I 29; hkl 1 2 -2, 2θ = 26.55°, I 64; hkl 0 7 1, 2θ = 38.52°, I 33; hkl 2 1 0, 2θ = 41.47°, I 28; hkl 1 5 -3, 2θ = 44.09°, I 29

=====

This entry pairs a crystal structure of Eu2YVO6 with its theoretical powder diffractogram. Radiation: Cu Kα, 1.54184 Å. Structure: a cell relaxed with PBE+U.

abc: 8.186 8.186 8.186
angles: 90.00 90.00 90.00
Space group Fm-3m (No. 225)
Inequivalent atoms, fractional coordinates:
1 Eu 0.250 0.250 0.250 x8
2 Y 0.000 0.000 0.000 x4
3 V 0.000 0.000 0.500 x4
4 O 0.000 0.000 0.267 x24

Peak list (10 most intense, 2θ = 15–90°, in order of rising 2θ)
hkl 2 0 0, 2θ = 21.71°, I 10; hkl 2 2 0, 2θ = 30.90°, I 100; hkl 2 2 2, 2θ = 38.08°, I 15; hkl 4 0 0, 2θ = 44.26°, I 31; hkl 4 2 0, 2θ = 49.81°, I 6; hkl 4 2 2, 2θ = 54.95°, I 39; hkl 4 4 0, 2θ = 64.38°, I 19; hkl 6 2 0, 2θ = 73.11°, I 17; hkl 4 4 4, 2θ = 81.45°, I 6; hkl 6 4 2, 2θ = 89.61°, I 21

=====

Copy entry 3 word for word.
This entry pairs a crystal structure of LiMo2P3O11 with its theoretical powder diffractogram. Radiation: Cu Kα, 1.54184 Å. Structure: a cell relaxed with PBE+U.

abc: 11.871 8.963 8.986
angles: 90.00 116.16 90.00
Space group C2 (No. 5)
Inequivalent atoms, fractional coordinates:
1 Li 0.248 0.000 0.264 x4
2 Mo 0.122 0.001 0.798 x4
3 Mo 0.122 0.521 0.297 x4
4 P 0.000 0.717 0.500 x2
5 P 0.000 0.805 0.000 x2
6 P 0.113 0.325 0.966 x4
7 P 0.114 0.196 0.468 x4
8 O 0.000 0.260 0.500 x2
9 O 0.000 0.261 0.000 x2
10 O 0.061 0.423 0.810 x4
11 O 0.062 0.809 0.658 x4
12 O 0.063 0.712 0.158 x4
13 O 0.064 0.099 0.311 x4
14 O 0.106 0.611 0.500 x4
15 O 0.106 0.911 0.000 x4
16 O 0.187 0.192 0.957 x4
17 O 0.188 0.332 0.463 x4
18 O 0.189 0.100 0.625 x4
19 O 0.189 0.422 0.123 x4

Peak list (10 most intense, 2θ = 15–90°, in order of rising 2θ)
hkl 1 1 1, 2θ = 19.22°, I 100; hkl 0 2 1, 2θ = 22.70°, I 23; hkl 3 1 -1, 2θ = 24.59°, I 37; hkl 3 1 -2, 2θ = 27.00°, I 31; hkl 2 2 -2, 2θ = 29.00°, I 22; hkl 0 2 2, 2θ = 29.81°, I 74; hkl 3 1 -3, 2θ = 33.25°, I 48; hkl 1 3 1, 2θ = 34.32°, I 22; hkl 4 2 0, 2θ = 39.34°, I 28; hkl 7 1 -3, 2θ = 55.66°, I 24

=====

What did the fifth record say?
This entry pairs a crystal structure of NiSb2H8O6F8 with its theoretical powder diffractogram. Radiation: Cu Kα, 1.54184 Å. Structure: a cell relaxed with PBE+U.

abc: 5.023 17.470 7.619
angles: 90.00 119.10 90.00
Space group P2_1/c (No. 14)
Inequivalent atoms, fractional coordinates:
1 Ni 0.000 0.000 0.000 x2
2 Sb 0.382 0.217 0.477 x4
3 H 0.177 0.105 0.855 x4
4 H 0.181 0.579 0.803 x4
5 H 0.278 0.611 0.492 x4
6 H 0.419 0.046 0.300 x4
7 O 0.029 0.061 0.806 x4
8 O 0.096 0.582 0.389 x4
9 O 0.405 0.018 0.182 x4
10 F 0.175 0.729 0.854 x4
11 F 0.419 0.171 0.878 x4
12 F 0.441 0.192 0.241 x4
13 F 0.490 0.598 0.968 x4

Peak list (10 most intense, 2θ = 15–90°, in order of rising 2θ)
hkl 1 1 -1, 2θ = 18.71°, I 47; hkl 0 3 1, 2θ = 20.25°, I 100; hkl 0 4 0, 2θ = 20.33°, I 43; hkl 1 1 0, 2θ = 20.87°, I 33; hkl 1 2 0, 2θ = 22.67°, I 83; hkl 1 0 -2, 2θ = 24.47°, I 29; hkl 1 2 -2, 2θ = 26.55°, I 64; hkl 0 7 1, 2θ = 38.52°, I 33; hkl 2 1 0, 2θ = 41.47°, I 28; hkl 1 5 -3, 2θ = 44.09°, I 29